(1)
This entry pairs a crystal structure of La2YOs with its calculated powder diffractogram. Radiation: a wavelength of 1.5418 Å. Structure: a crystal structure in Alexandria, relaxed with PBE.
Intensities are scaled so that the largest is 100.

Atomic structure:
Cell: 7.4904 9.8014 6.4201 Å, 90.00 90.00 90.00°
Atoms (fractional coordinates):
La 0.1747 0.0665 0.1704
La 0.1747 0.4335 0.1704
La 0.3253 0.5665 0.6704
La 0.3253 0.9335 0.6704
La 0.6747 0.0665 0.3296
La 0.6747 0.4335 0.3296
La 0.8253 0.5665 0.8296
La 0.8253 0.9335 0.8296
Y 0.0434 0.2500 0.6461
Y 0.4566 0.7500 0.1461
Y 0.5434 0.2500 0.8539
Y 0.9566 0.7500 0.3539
Os 0.1153 0.7500 0.9471
Os 0.3847 0.2500 0.4471
Os 0.6153 0.7500 0.5529
Os 0.8847 0.2500 0.0529

The 8 most intense peaks (2θ from 15° to 90°), low angle first:
- d = 4.880 Å, intensity 85
- d = 2.912 Å, intensity 59
- d = 2.825 Å, intensity 86
- d = 2.714 Å, intensity 100
- d = 2.700 Å, intensity 87
- d = 2.528 Å, intensity 50
- d = 2.462 Å, intensity 79
- d = 1.897 Å, intensity 51

(2)
This entry pairs a crystal structure of La8ZnOs2 with its calculated powder diffractogram. Radiation: a wavelength of 1.5418 Å. Structure: a crystal structure in Alexandria, relaxed with PBE.
Intensities are scaled so that the largest is 100.

Atomic structure:
Cell: 8.2021 8.2021 5.8873 Å, 98.33 98.33 115.50°
Atoms (fractional coordinates):
La 0.0000 0.0000 0.0000
La 0.0610 0.3127 0.6442
La 0.1525 0.6386 0.1992
La 0.3127 0.0610 0.6442
La 0.4764 0.7286 0.7544
La 0.6386 0.1525 0.1992
La 0.7286 0.4764 0.7544
La 0.7871 0.7871 0.3960
Zn 0.3936 0.3936 0.2019
Os 0.0997 0.6886 0.6981
Os 0.6886 0.0997 0.6981

The 8 most intense peaks (2θ from 15° to 90°), low angle first:
- d = 5.666 Å, intensity 60
- d = 2.958 Å, intensity 74
- d = 2.833 Å, intensity 46
- d = 2.784 Å, intensity 67
- d = 2.678 Å, intensity 100
- d = 2.623 Å, intensity 48
- d = 2.530 Å, intensity 42
- d = 2.471 Å, intensity 48

(3)
This entry pairs a crystal structure of LaP2 with its calculated powder diffractogram. Radiation: a wavelength of 1.5418 Å. Structure: a crystal structure in Alexandria, relaxed with PBE.
Intensities are scaled so that the largest is 100.

Atomic structure:
Cell: 9.4024 9.4024 8.8459 Å, 117.96 117.96 96.27°
Atoms (fractional coordinates):
La 0.0383 0.9617 0.5000
La 0.1891 0.5739 0.5591
La 0.4047 0.9504 0.2541
La 0.5613 0.6470 0.4106
La 0.5739 0.1891 0.0591
La 0.6470 0.5613 0.9106
La 0.9504 0.4047 0.7541
La 0.9617 0.0383 0.0000
P 0.0261 0.7657 0.1029
P 0.1648 0.4225 0.1474
P 0.1991 0.9336 0.8583
P 0.2191 0.7093 0.3095
P 0.2798 0.3471 0.9540
P 0.3471 0.2798 0.4540
P 0.3515 0.5824 0.9626
P 0.4225 0.1648 0.6474
P 0.5824 0.3515 0.4626
P 0.5832 0.8260 0.8175
P 0.6946 0.9492 0.1576
P 0.7093 0.2191 0.8095
P 0.7657 0.0261 0.6029
P 0.8260 0.5832 0.3175
P 0.9336 0.1991 0.3583
P 0.9492 0.6946 0.6576

The 8 most intense peaks (2θ from 15° to 90°), low angle first:
- d = 4.133 Å, intensity 76
- d = 3.836 Å, intensity 100
- d = 3.811 Å, intensity 100
- d = 3.058 Å, intensity 88
- d = 2.868 Å, intensity 95
- d = 2.615 Å, intensity 75
- d = 2.602 Å, intensity 79
- d = 2.293 Å, intensity 52